[1]
Theoretical X-ray diffraction stick pattern of PaNi6Sn for copper Kα, from a structure optimized by DFT (PBE).

Structure:
Unit cell a=5.3399 b=5.3399 c=4.4062 alpha=90.00 beta=90.00 gamma=120.00
Space group P-6m2 (No. 187)
Symmetry-distinct sites (fractional):
Pa: 0.0000 0.0000 0.0000 [1 per cell]
Ni: 0.3542 0.1771 0.5000 [3 per cell]
Ni: 0.5073 0.0147 0.0000 [3 per cell]
Sn: 0.3333 0.6667 0.5000 [1 per cell]

Most intense lines, 10° ≤ 2θ ≤ 90°, in order of rising 2θ:
Position (°2θ), I/Imax, h k l
28.0, 37, 1 0 1
39.0, 25, 2 0 0
41.0, 28, 0 0 2
44.2, 100, 2 0 1
57.8, 16, 2 0 2
70.5, 16, 2 2 0
76.9, 19, 2 0 3
84.9, 19, 2 2 2

***

[2]
Theoretical X-ray diffraction stick pattern of Ca2Al3Ag5 for copper Kα, from a structure optimized by DFT (PBE).

Structure:
Unit cell a=10.5382 b=13.7334 c=5.7692 alpha=90.00 beta=90.00 gamma=90.00
Space group Ibam (No. 72)
Symmetry-distinct sites (fractional):
Ca: 0.2288 0.1494 0.0000 [8 per cell]
Al: 0.0000 0.5000 0.2500 [4 per cell]
Al: 0.0793 0.1514 0.5000 [8 per cell]
Ag: 0.0000 0.0000 0.2500 [4 per cell]
Ag: 0.0000 0.3019 0.2500 [8 per cell]
Ag: 0.1908 0.4202 0.0000 [8 per cell]

Most intense lines, 10° ≤ 2θ ≤ 90°, in order of rising 2θ:
Position (°2θ), I/Imax, h k l
21.2, 61, 1 3 0
31.1, 41, 2 4 0
31.5, 41, 1 4 1
32.1, 38, 3 3 0
34.0, 31, 4 0 0
35.5, 100, 2 0 2
37.8, 55, 1 3 2
40.9, 32, 0 4 2